Starting from a cell relaxed with GGA-PBE, the powder diffraction line list of Tb6TlTe8 was computed for copper Kα.
Neutral-atom scattering factors, no anomalous dispersion.

Cell and atoms:
```
data_Tb6TlTe8
_chemical_formula_sum 'Tb6 Tl1 Te8'
_space_group_name_H-M_alt 'P -3'
_space_group_IT_number 147
_cell_length_a 11.7641
_cell_length_b 11.7641
_cell_length_c 4.4379
_cell_angle_alpha 90.00
_cell_angle_beta 90.00
_cell_angle_gamma 120.00
loop_
_space_group_symop_operation_xyz
'x,y,z'
'-x,-y,-z'
'-y,x-y,z'
'y,-x+y,-z'
'-x+y,-x,z'
'x-y,x,-z'
loop_
_atom_site_label
_atom_site_type_symbol
_atom_site_fract_x
_atom_site_fract_y
_atom_site_fract_z
_atom_site_occupancy
Tb1 Tb 0.1355 0.4850 0.2497 1
Tl1 Tl 0.0000 0.0000 0.0000 1
Te1 Te 0.0456 0.6942 0.2494 1
Te2 Te 0.3333 0.6667 0.7495 1
```

The 10 most intense peaks (2θ from 10° to 90°), sorted by position:
(0 1 1), 21.84 deg, I 33; (1 2 0), 23.10 deg, I 24; (3 0 0), 26.24 deg, I 42; (0 2 1), 26.64 deg, I 37; (2 1 1), 30.74 deg, I 100; (3 1 0), 31.67 deg, I 47; (4 -2 1), 36.66 deg, I 84; (0 0 2), 40.62 deg, I 39; (3 2 1), 43.77 deg, I 39; (3 5 1), 67.76 deg, I 21

Starting from a cell relaxed with GGA-PBE, the powder diffraction line list of SmNpRu2 was computed for copper Kα.
Neutral-atom scattering factors, no anomalous dispersion.

Cell and atoms:
```
data_SmNpRu2
_chemical_formula_sum 'Sm4 Np4 Ru8'
_space_group_name_H-M_alt 'P n m a'
_space_group_IT_number 62
_cell_length_a 6.560
_cell_length_b 4.964
_cell_length_c 10.295
_cell_angle_alpha 90.00
_cell_angle_beta 90.00
_cell_angle_gamma 90.00
loop_
_space_group_symop_operation_xyz
'x,y,z'
'-x,-y,-z'
'-x+1/2,-y,z+1/2'
'x+1/2,y,-z+1/2'
'x+1/2,-y+1/2,-z+1/2'
'-x+1/2,y+1/2,z+1/2'
'-x,y+1/2,-z'
'x,-y+1/2,z'
loop_
_atom_site_label
_atom_site_type_symbol
_atom_site_fract_x
_atom_site_fract_y
_atom_site_fract_z
_atom_site_occupancy
Sm1 Sm 0.173 0.250 0.163 1
Np1 Np 0.030 0.750 0.386 1
Ru1 Ru 0.112 0.250 0.858 1
Ru2 Ru 0.246 0.250 0.475 1
```

The 10 most intense peaks (2θ from 10° to 90°), sorted by position:
(1 0 1), 16.02 deg, I 24; (1 1 2), 28.44 deg, I 75; (0 1 3), 31.70 deg, I 22; (2 1 1), 33.89 deg, I 66; (1 1 3), 34.59 deg, I 100; (0 0 4), 34.86 deg, I 26; (0 2 0), 36.19 deg, I 81; (3 0 1), 42.24 deg, I 54; (3 1 1), 46.21 deg, I 38; (1 3 3), 64.06 deg, I 25

Starting from a cell relaxed with GGA-PBE, the powder diffraction line list of Er4TmZr was computed for copper Kα.
Neutral-atom scattering factors, no anomalous dispersion.

Cell and atoms:
```
data_Er4TmZr
_chemical_formula_sum 'Er16 Tm4 Zr4'
_space_group_name_H-M_alt 'C 1 2/c 1'
_space_group_IT_number 15
_cell_length_a 8.750
_cell_length_b 14.104
_cell_length_c 6.181
_cell_angle_alpha 90.00
_cell_angle_beta 109.60
_cell_angle_gamma 90.00
loop_
_space_group_symop_operation_xyz
'x,y,z'
'-x,-y,-z'
'-x,y,-z+1/2'
'x,-y,z+1/2'
'x+1/2,y+1/2,z'
'-x+1/2,-y+1/2,-z'
'-x+1/2,y+1/2,-z+1/2'
'x+1/2,-y+1/2,z+1/2'
loop_
_atom_site_label
_atom_site_type_symbol
_atom_site_fract_x
_atom_site_fract_y
_atom_site_fract_z
_atom_site_occupancy
Er1 Er 0.095 0.188 0.041 1
Er2 Er 0.208 0.386 0.365 1
Tm1 Tm 0.000 0.406 0.750 1
Zr1 Zr 0.000 0.003 0.250 1
```

The 10 most intense peaks (2θ from 10° to 90°), sorted by position:
(0 4 0), 25.26 deg, I 20; (1 3 1), 28.71 deg, I 34; (1 1 -2), 29.59 deg, I 38; (3 1 -1), 31.64 deg, I 68; (2 2 1), 33.09 deg, I 81; (0 2 2), 33.29 deg, I 23; (1 5 0), 33.61 deg, I 100; (1 3 -2), 34.74 deg, I 52; (1 1 3), 52.32 deg, I 16; (4 2 -3), 54.54 deg, I 20

Starting from a cell relaxed with GGA-PBE, the powder diffraction line list of BeHgSe was computed for copper Kα.
Neutral-atom scattering factors, no anomalous dispersion.

Cell and atoms:
```
data_BeHgSe
_chemical_formula_sum 'Be2 Hg2 Se2'
_space_group_name_H-M_alt 'P 1'
_space_group_IT_number 1
_cell_length_a 3.627
_cell_length_b 6.097
_cell_length_c 6.798
_cell_angle_alpha 89.84
_cell_angle_beta 88.35
_cell_angle_gamma 90.00
loop_
_space_group_symop_operation_xyz
'x,y,z'
loop_
_atom_site_label
_atom_site_type_symbol
_atom_site_fract_x
_atom_site_fract_y
_atom_site_fract_z
_atom_site_occupancy
Be1 Be 0.000 0.000 0.000 1
Be2 Be 0.496 0.500 0.058 1
Hg1 Hg 0.031 0.122 0.614 1
Hg2 Hg 0.468 0.620 0.443 1
Se1 Se 0.002 0.649 0.949 1
Se2 Se 0.494 0.149 0.109 1
```

The 10 most intense peaks (2θ from 10° to 90°), sorted by position:
(0 0 1), 13.03 deg, I 48; (0 0 2), 26.23 deg, I 25; (1 0 1), 27.55 deg, I 32; (1 -1 0), 28.65 deg, I 30; (0 2 0), 29.30 deg, I 70; (0 1 2), 30.11 deg, I 100; (1 -1 1), 31.28 deg, I 72; (1 1 -1), 31.89 deg, I 95; (1 0 3), 46.66 deg, I 23; (1 3 -1), 53.61 deg, I 22

Starting from a cell relaxed with GGA-PBE, the powder diffraction line list of ThNbNi was computed for copper Kα.
Neutral-atom scattering factors, no anomalous dispersion.

Cell and atoms:
```
data_ThNbNi
_chemical_formula_sum 'Th4 Nb4 Ni4'
_space_group_name_H-M_alt 'A m m 2'
_space_group_IT_number 38
_cell_length_a 10.497
_cell_length_b 4.851
_cell_length_c 4.829
_cell_angle_alpha 90.00
_cell_angle_beta 90.00
_cell_angle_gamma 90.00
loop_
_space_group_symop_operation_xyz
'x,y,z'
'-x,-y,z'
'-x,y,z'
'x,-y,z'
'x,y+1/2,z+1/2'
'-x,-y+1/2,z+1/2'
'-x,y+1/2,z+1/2'
'x,-y+1/2,z+1/2'
loop_
_atom_site_label
_atom_site_type_symbol
_atom_site_fract_x
_atom_site_fract_y
_atom_site_fract_z
_atom_site_occupancy
Th1 Th 0.171 0.000 0.000 1
Nb1 Nb 0.382 0.000 0.502 1
Ni1 Ni 0.000 0.000 0.497 1
Ni2 Ni 0.500 0.000 0.003 1
```

The 10 most intense peaks (2θ from 10° to 90°), sorted by position:
(3 0 0), 25.46 deg, I 14; (0 1 1), 26.04 deg, I 16; (1 1 1), 27.41 deg, I 22; (2 1 1), 31.20 deg, I 22; (3 1 1), 36.73 deg, I 100; (0 2 0), 37.07 deg, I 30; (0 0 2), 37.24 deg, I 30; (0 2 2), 53.56 deg, I 21; (3 3 1), 66.59 deg, I 18; (3 1 3), 66.82 deg, I 17

Starting from a cell relaxed with GGA-PBE, the powder diffraction line list of SrTcRh was computed for copper Kα.
Neutral-atom scattering factors, no anomalous dispersion.

Cell and atoms:
```
data_SrTcRh
_chemical_formula_sum 'Sr4 Tc4 Rh4'
_space_group_name_H-M_alt 'C 1 m 1'
_space_group_IT_number 8
_cell_length_a 9.589
_cell_length_b 5.914
_cell_length_c 5.105
_cell_angle_alpha 90.00
_cell_angle_beta 121.41
_cell_angle_gamma 90.00
loop_
_space_group_symop_operation_xyz
'x,y,z'
'x,-y,z'
'x+1/2,y+1/2,z'
'x+1/2,-y+1/2,z'
loop_
_atom_site_label
_atom_site_type_symbol
_atom_site_fract_x
_atom_site_fract_y
_atom_site_fract_z
_atom_site_occupancy
Sr1 Sr 0.000 0.000 0.000 1
Sr2 Sr 0.245 0.500 0.244 1
Tc1 Tc 0.347 0.000 0.055 1
Tc2 Tc 0.398 0.000 0.563 1
Rh1 Rh 0.131 0.246 0.628 1
```

The 10 most intense peaks (2θ from 10° to 90°), sorted by position:
(1 1 1), 31.69 deg, I 29; (3 1 -1), 32.02 deg, I 40; (3 1 0), 36.27 deg, I 51; (0 2 1), 36.73 deg, I 58; (2 2 -1), 36.88 deg, I 53; (2 2 0), 37.54 deg, I 100; (1 1 -2), 39.89 deg, I 36; (3 1 -2), 40.16 deg, I 32; (0 0 2), 41.45 deg, I 27; (2 2 2), 66.19 deg, I 25

Starting from a cell relaxed with GGA-PBE, the powder diffraction line list of Mg2Pt9W was computed for copper Kα.
Neutral-atom scattering factors, no anomalous dispersion.

Cell and atoms:
```
data_Mg2Pt9W
_chemical_formula_sum 'Mg2 Pt9 W1'
_space_group_name_H-M_alt 'P 4/m m m'
_space_group_IT_number 123
_space_group_name_Hall '-P 4 2'
_cell_length_a 3.965
_cell_length_b 3.965
_cell_length_c 11.882
_cell_angle_alpha 90.00
_cell_angle_beta 90.00
_cell_angle_gamma 90.00
loop_
_atom_site_label
_atom_site_type_symbol
_atom_site_fract_x
_atom_site_fract_y
_atom_site_fract_z
_atom_site_occupancy
Mg1 Mg 0.000 0.000 0.162 1
Pt1 Pt 0.000 0.500 0.000 1
Pt2 Pt 0.000 0.500 0.338 1
Pt3 Pt 0.500 0.500 0.168 1
Pt4 Pt 0.500 0.500 0.500 1
W1 W 0.000 0.000 0.500 1
```

The 10 most intense peaks (2θ from 10° to 90°), sorted by position:
(0 0 2), 14.91 deg, I 3; (1 0 0), 22.43 deg, I 10; (1 1 0), 31.93 deg, I 8; (1 1 3), 39.37 deg, I 100; (2 0 0), 45.78 deg, I 49; (1 0 6), 51.56 deg, I 4; (2 1 3), 56.90 deg, I 3; (2 2 0), 66.75 deg, I 32; (3 1 3), 80.34 deg, I 39; (2 2 6), 84.71 deg, I 11

Starting from a cell relaxed with GGA-PBE, the powder diffraction line list of AcMg3Ga3 was computed for copper Kα.
Neutral-atom scattering factors, no anomalous dispersion.

Cell and atoms:
```
data_AcMg3Ga3
_chemical_formula_sum 'Ac2 Mg6 Ga6'
_space_group_name_H-M_alt 'P 1 21/m 1'
_space_group_IT_number 11
_cell_length_a 7.300
_cell_length_b 4.653
_cell_length_c 9.825
_cell_angle_alpha 90.00
_cell_angle_beta 106.83
_cell_angle_gamma 90.00
loop_
_space_group_symop_operation_xyz
'x,y,z'
'-x,-y,-z'
'-x,y+1/2,-z'
'x,-y+1/2,z'
loop_
_atom_site_label
_atom_site_type_symbol
_atom_site_fract_x
_atom_site_fract_y
_atom_site_fract_z
_atom_site_occupancy
Ac1 Ac 0.125 0.250 0.289 1
Mg1 Mg 0.151 0.250 0.939 1
Mg2 Mg 0.438 0.750 0.858 1
Mg3 Mg 0.496 0.750 0.374 1
Ga1 Ga 0.135 0.250 0.645 1
Ga2 Ga 0.251 0.750 0.549 1
Ga3 Ga 0.271 0.750 0.090 1
```

The 10 most intense peaks (2θ from 10° to 90°), sorted by position:
(1 0 0), 12.67 deg, I 85; (1 0 1), 17.87 deg, I 44; (1 1 -1), 23.39 deg, I 44; (2 1 0), 32.03 deg, I 100; (1 1 2), 32.21 deg, I 70; (2 1 -2), 33.29 deg, I 80; (1 1 -3), 33.78 deg, I 88; (1 0 3), 34.54 deg, I 66; (0 2 0), 38.69 deg, I 77; (3 0 2), 48.39 deg, I 42